The following is a calculated X-ray diffraction stick pattern of Li9Mn2Co5O16. It was derived from a DFT-relaxed cell (PBE+U, the Materials Project), using λ = 1.5418 Å (Cu Kα).
Lines closer than 0.1° are merged.

Largest 10 diffraction maxima, low angle first, 2θ from 10° to 80°:
2θ (°)  I_rel  h k l
18.3  1000  0 1 -1
35.9  138  -2 1 2
36.1  130  0 1 3
36.4  124  2 -1 2
43.4  275  2 0 -3
43.6  270  0 2 2
44.1  261  2 -2 3
47.8  86  0 1 -5
62.9  74  2 2 -1
63.2  145  0 2 -6

Atomic structure:
Cell lengths 5.8143, 5.8863, 9.7009 Å; angles 98.82, 90.89, 119.29 degrees
Space group P1 (No. 1)
One atom of each set of equivalent atoms:
Li (0.0000, 0.0000, 0.0000)
Li (0.0025, 0.5027, 0.0057)
Li (0.1230, 0.7476, 0.7584)
Li (0.2531, 0.5012, 0.5089)
Li (0.3781, 0.2512, 0.2526)
Li (0.5030, 0.9988, 0.0012)
Li (0.6250, 0.7485, 0.7561)
Li (0.7507, 0.5018, 0.5099)
Li (0.8828, 0.2557, 0.2502)
Mn (0.4983, 0.4981, 0.0067)
Mn (0.8848, 0.7482, 0.2512)
Co (0.1234, 0.2597, 0.7594)
Co (0.2623, 0.0056, 0.5084)
Co (0.3776, 0.7480, 0.2519)
Co (0.6378, 0.2599, 0.7632)
Co (0.7540, 0.0033, 0.5050)
O (0.0577, 0.0959, 0.3776)
O (0.0771, 0.6418, 0.3643)
O (0.1818, 0.8630, 0.1451)
O (0.2190, 0.4053, 0.1291)
O (0.3133, 0.5991, 0.8811)
O (0.3247, 0.1513, 0.8898)
O (0.4355, 0.3577, 0.6330)
O (0.4360, 0.8848, 0.6217)
O (0.5580, 0.0950, 0.3773)
O (0.5839, 0.6479, 0.3688)
O (0.6763, 0.8481, 0.1346)
O (0.6927, 0.4058, 0.1314)
O (0.7867, 0.6120, 0.8875)
O (0.8035, 0.1271, 0.8688)
O (0.9315, 0.3658, 0.6305)
O (0.9474, 0.9010, 0.6285)



The following is a calculated X-ray diffraction stick pattern of Zn2Fe3As3O26. It was derived from a DFT-relaxed cell (PBE+U, the Materials Project), using λ = 1.5418 Å (Cu Kα).
Lines closer than 0.1° are merged.

Largest 10 diffraction maxima, low angle first, 2θ from 10° to 80°:
2θ (°)  I_rel  h k l
10.9  1000  0 0 1
11.3  884  1 1 0
19.1  247  0 2 1
22.3  163  2 0 1
22.9  373  2 2 -1
27.0  230  0 2 2
27.8  184  2 2 -2
35.2  175  4 2 -1
35.8  183  2 4 0
36.7  267  0 2 3

Atomic structure:
Cell lengths 11.4300, 11.2977, 8.5801 Å; angles 90.00, 108.16, 90.00 degrees
Space group Cm (No. 8)
One atom of each set of equivalent atoms:
Zn (0.0000, 0.0000, 0.0000)
Zn (0.0248, 0.5000, 0.9503)
Fe (0.2095, 0.1356, 0.2539)
Fe (0.2674, 0.0000, 0.9749)
As (0.3120, 0.0000, 0.6095)
As (0.4239, 0.2515, 0.1077)
O (0.0763, 0.2515, 0.2236)
O (0.0902, 0.2682, 0.6941)
O (0.1023, 0.0000, 0.2499)
O (0.1327, 0.2826, 0.8415)
O (0.1428, 0.1080, 0.9853)
O (0.1622, 0.5000, 0.4558)
O (0.1847, 0.5000, 0.1004)
O (0.2038, 0.4026, 0.5298)
O (0.2213, 0.0000, 0.7399)
O (0.2796, 0.1266, 0.4923)
O (0.3148, 0.0000, 0.2089)
O (0.3280, 0.2522, 0.2266)
O (0.3869, 0.3666, 0.9707)
O (0.3995, 0.1205, 0.9887)
O (0.4446, 0.5000, 0.6113)
O (0.4486, 0.5000, 0.4705)
O (0.4665, 0.0000, 0.7164)



The following is a calculated X-ray diffraction stick pattern of MnZnSi2O6. It was derived from a DFT-relaxed cell (PBE+U, the Materials Project), using λ = 1.5418 Å (Cu Kα).
Lines closer than 0.1° are merged.

Largest 10 diffraction maxima, low angle first, 2θ from 10° to 80°:
2θ (°)  I_rel  h k l
13.3  457  1 1 0
19.1  774  2 0 0
26.7  826  2 2 0
28.0  856  2 2 -1
29.4  397  3 1 -1
30.2  763  3 1 0
32.8  1000  1 3 -1
35.6  586  0 0 2
39.9  646  3 3 -1
54.2  379  5 3 -1

Atomic structure:
Cell lengths 9.9894, 9.5365, 5.4091 Å; angles 90.00, 111.02, 90.00 degrees
Space group C2/c (No. 15)
One atom of each set of equivalent atoms:
Mn (0.0000, 0.1060, 0.2500)
Zn (0.0000, 0.2370, 0.7500)
Si (0.1970, 0.4174, 0.2195)
O (0.1170, 0.2679, 0.1175)
O (0.1262, 0.0871, 0.6616)
O (0.1475, 0.4758, 0.4613)



The following is a calculated X-ray diffraction stick pattern of LiFeF4. It was derived from a DFT-relaxed cell (PBE+U, the Materials Project), using λ = 1.5418 Å (Cu Kα).
Lines closer than 0.1° are merged.

Largest 10 diffraction maxima, low angle first, 2θ from 10° to 80°:
2θ (°)  I_rel  h k l
17.9  838  0 0 2
19.8  267  0 2 0
21.7  517  0 2 1
22.2  121  2 1 0
24.0  1000  2 1 1
26.8  441  0 2 2
35.2  477  2 1 3
36.5  168  1 3 2
41.2  124  0 4 1
59.6  130  3 2 5

Atomic structure:
Cell lengths 8.9359, 8.9820, 9.9370 Å; angles 90.00, 90.00, 90.00 degrees
Space group Pbca (No. 61)
One atom of each set of equivalent atoms:
Li (0.2066, 0.1428, 0.0845)
Fe (0.0779, 0.0639, 0.7705)
F (0.0820, 0.1940, 0.6270)
F (0.1011, 0.5375, 0.6390)
F (0.1254, 0.6211, 0.1998)
F (0.2189, 0.1209, 0.8961)